[1]
Theoretical powder X-ray diffraction pattern of RbPaCo2Cl8 for copper Kα, from a PBE-relaxed structure.

Cell and atoms:
```
data_RbPaCo2Cl8
_symmetry_space_group_name_H-M 'R -3'
_symmetry_Int_Tables_number 148
_symmetry_space_group_name_Hall '-R 3'
_cell_length_a 6.4128
_cell_length_b 6.4128
_cell_length_c 31.2657
_cell_angle_alpha 90.00
_cell_angle_beta 90.00
_cell_angle_gamma 120.00
loop_
_atom_site_label
_atom_site_fract_x
_atom_site_fract_y
_atom_site_fract_z
_atom_site_occupancy
Rb1 0.0000 0.0000 0.0000 1
Pa1 0.0000 0.0000 0.5000 1
Co1 0.0000 0.0000 0.2487 1
Cl1 0.0000 0.0000 0.3186 1
Cl2 0.0030 0.3300 0.2172 1
```

Peak list (10 most intense, 10 to 90 degrees two-theta, sorted by position)
2θ 16.21, I 23, hkl 1 0 1
2θ 16.97, I 20, hkl 0 0 6
2θ 19.61, I 100, hkl 1 0 4
2θ 21.40, I 16, hkl 0 1 5
2θ 27.87, I 67, hkl 1 1 0
2θ 32.79, I 37, hkl 2 -1 6
2θ 34.27, I 23, hkl 0 2 4
2θ 44.70, I 23, hkl 2 1 4
2θ 44.82, I 39, hkl 1 1 12
2θ 49.24, I 37, hkl 3 0 0

[2]
Theoretical powder X-ray diffraction pattern of TlCoPb2Cl8 for copper Kα, from a PBE-relaxed structure.

Cell and atoms:
```
data_TlCoPb2Cl8
_symmetry_space_group_name_H-M 'P -1'
_symmetry_Int_Tables_number 2
_cell_length_a 6.281
_cell_length_b 6.466
_cell_length_c 8.658
_cell_angle_alpha 89.95
_cell_angle_beta 89.51
_cell_angle_gamma 88.18
loop_
_symmetry_equiv_pos_as_xyz
'x,y,z'
'-x,-y,-z'
loop_
_atom_site_label
_atom_site_fract_x
_atom_site_fract_y
_atom_site_fract_z
_atom_site_occupancy
Tl1 0.000 0.000 0.000 1
Co1 0.000 0.000 0.500 1
Pb1 0.498 0.500 0.266 1
Cl1 0.205 0.290 0.501 1
Cl2 0.213 0.858 0.686 1
Cl3 0.216 0.862 0.312 1
Cl4 0.269 0.384 0.001 1
```

Peak list (10 most intense, 10 to 90 degrees two-theta, sorted by position)
2θ 19.40, I 100, hkl 1 1 0
2θ 20.03, I 97, hkl 1 -1 0
2θ 24.75, I 64, hkl 0 1 2
2θ 24.89, I 50, hkl 1 0 2
2θ 25.09, I 49, hkl 1 0 -2
2θ 27.61, I 31, hkl 0 2 0
2θ 37.85, I 38, hkl 2 1 -2
2θ 38.26, I 28, hkl 2 -1 2
2θ 38.53, I 27, hkl -2 1 2
2θ 47.12, I 30, hkl 0 3 -2

[3]
Theoretical powder X-ray diffraction pattern of RbCoPdCl6 for copper Kα, from a PBE-relaxed structure.

Cell and atoms:
```
data_RbCoPdCl6
_symmetry_space_group_name_H-M 'P 1'
_symmetry_Int_Tables_number 1
_cell_length_a 6.338
_cell_length_b 6.343
_cell_length_c 7.349
_cell_angle_alpha 91.64
_cell_angle_beta 91.74
_cell_angle_gamma 116.51
loop_
_symmetry_equiv_pos_as_xyz
'x,y,z'
loop_
_atom_site_label
_atom_site_fract_x
_atom_site_fract_y
_atom_site_fract_z
_atom_site_occupancy
Rb1 0.000 0.000 0.000 1
Co1 0.329 0.675 0.500 1
Pd1 0.673 0.328 0.500 1
Cl1 0.003 0.359 0.678 1
Cl2 0.034 0.627 0.299 1
Cl3 0.372 0.967 0.702 1
Cl4 0.386 0.368 0.315 1
Cl5 0.632 0.615 0.684 1
Cl6 0.643 0.998 0.323 1
```

Peak list (10 most intense, 10 to 90 degrees two-theta, sorted by position)
2θ 12.06, I 100, hkl 0 0 1
2θ 19.33, I 78, hkl 1 0 -1
2θ 20.25, I 66, hkl 1 0 1
2θ 20.44, I 74, hkl 1 -1 1
2θ 28.81, I 22, hkl 1 1 -1
2θ 31.08, I 26, hkl -1 2 1
2θ 35.38, I 51, hkl 1 1 -2
2θ 37.03, I 20, hkl -2 1 2
2θ 38.05, I 77, hkl 2 -1 2
2θ 48.17, I 34, hkl 3 0 0

[4]
Theoretical powder X-ray diffraction pattern of Pm3CoCl2 for copper Kα, from a PBE-relaxed structure.

Cell and atoms:
```
data_Pm3CoCl2
_symmetry_space_group_name_H-M 'I m m m'
_symmetry_Int_Tables_number 71
_symmetry_space_group_name_Hall '-I 2 2'
_cell_length_a 3.815
_cell_length_b 5.843
_cell_length_c 13.656
_cell_angle_alpha 90.00
_cell_angle_beta 90.00
_cell_angle_gamma 90.00
loop_
_atom_site_label
_atom_site_fract_x
_atom_site_fract_y
_atom_site_fract_z
_atom_site_occupancy
Pm1 0.000 0.000 0.000 1
Pm2 0.000 0.000 0.368 1
Co1 0.000 0.500 0.000 1
Cl1 0.000 0.500 0.324 1
```

Peak list (10 most intense, 10 to 90 degrees two-theta, sorted by position)
2θ 12.97, I 17, hkl 0 0 2
2θ 24.79, I 23, hkl 0 1 3
2θ 27.93, I 27, hkl 1 1 0
2θ 30.59, I 100, hkl 0 2 0
2θ 36.31, I 13, hkl 0 1 5
2θ 40.63, I 12, hkl 1 0 5
2θ 43.81, I 45, hkl 1 2 3
2θ 57.72, I 12, hkl 2 2 0
2θ 61.60, I 11, hkl 1 1 8
2θ 72.30, I 14, hkl 1 4 3

[5]
Theoretical powder X-ray diffraction pattern of PrCoCl for copper Kα, from a PBE-relaxed structure.

Cell and atoms:
```
data_PrCoCl
_symmetry_space_group_name_H-M 'R -3 m'
_symmetry_Int_Tables_number 166
_symmetry_space_group_name_Hall '-R 3 2"'
_cell_length_a 4.0073
_cell_length_b 4.0073
_cell_length_c 33.2324
_cell_angle_alpha 90.00
_cell_angle_beta 90.00
_cell_angle_gamma 120.00
loop_
_atom_site_label
_atom_site_fract_x
_atom_site_fract_y
_atom_site_fract_z
_atom_site_occupancy
Pr1 0.0000 0.0000 0.0590 1
Co1 0.0000 0.0000 0.3349 1
Cl1 0.0000 0.0000 0.2203 1
```

Peak list (10 most intense, 10 to 90 degrees two-theta, sorted by position)
2θ 25.81, I 54, hkl 1 0 1
2θ 31.94, I 100, hkl 1 0 7
2θ 33.65, I 64, hkl 0 1 8
2θ 37.47, I 38, hkl 1 0 10
2θ 39.55, I 30, hkl 0 1 11
2θ 45.26, I 58, hkl 1 1 0
2θ 46.03, I 22, hkl 1 1 3
2θ 56.46, I 19, hkl 0 2 7
2θ 62.50, I 19, hkl 1 1 15
2θ 69.19, I 28, hkl 1 1 18

[6]
Theoretical powder X-ray diffraction pattern of Pr3CoCl2 for copper Kα, from a PBE-relaxed structure.

Cell and atoms:
```
data_Pr3CoCl2
_symmetry_space_group_name_H-M 'I m m m'
_symmetry_Int_Tables_number 71
_symmetry_space_group_name_Hall '-I 2 2'
_cell_length_a 3.859
_cell_length_b 5.970
_cell_length_c 13.815
_cell_angle_alpha 90.00
_cell_angle_beta 90.00
_cell_angle_gamma 90.00
loop_
_atom_site_label
_atom_site_fract_x
_atom_site_fract_y
_atom_site_fract_z
_atom_site_occupancy
Pr1 0.000 0.000 0.000 1
Pr2 0.000 0.000 0.367 1
Co1 0.000 0.500 0.000 1
Cl1 0.000 0.500 0.326 1
```

Peak list (10 most intense, 10 to 90 degrees two-theta, sorted by position)
2θ 12.82, I 26, hkl 0 0 2
2θ 24.41, I 36, hkl 0 1 3
2θ 27.52, I 41, hkl 1 1 0
2θ 29.93, I 63, hkl 0 2 0
2θ 30.22, I 100, hkl 1 0 3
2θ 35.81, I 19, hkl 0 1 5
2θ 43.05, I 74, hkl 1 2 3
2θ 47.10, I 18, hkl 2 0 0
2θ 56.81, I 20, hkl 2 2 0
2θ 60.78, I 17, hkl 1 1 8